This entry pairs a crystal structure of MgTl4Ni4O12 with its calculated powder diffraction line list. Radiation: Cu Ka. Structure: a crystal structure in the Materials Project, relaxed with PBE+U.

Most intense lines, 2θ from 10° to 90°, sorted by position:
hkl  2theta  Rel. int.
0 0 2  20.62  42
1 1 1  23.82  29
1 -1 2  32.39  65
1 1 -2  32.66  100
2 0 0  33.55  52
1 1 3  36.55  36
-1 1 3  38.23  30
2 2 1  46.34  30

Cell and atoms:
a b c (Å): 5.3502 5.5959 8.6924
angles (deg): 82.65 87.46 87.72
Fractional positions:
Mg (0.0000, 0.0000, 0.0000)
Tl (0.0070, 0.8553, 0.3678)
Tl (0.0196, 0.6576, 0.7932)
Tl (0.5131, 0.1963, 0.8126)
Tl (0.5489, 0.3413, 0.3590)
Ni (0.0328, 0.2662, 0.5927)
Ni (0.0576, 0.3853, 0.1473)
Ni (0.5187, 0.7794, 0.5793)
Ni (0.5211, 0.8443, 0.1281)
O (0.1580, 0.2642, 0.3690)
O (0.2023, 0.6760, 0.0435)
O (0.2460, 0.9635, 0.6714)
O (0.3097, 0.1585, 0.0531)
O (0.3416, 0.4817, 0.6525)
O (0.4041, 0.7655, 0.3570)
O (0.6985, 0.8513, 0.9122)
O (0.7197, 0.0717, 0.5420)
O (0.7899, 0.5884, 0.2108)
O (0.8139, 0.1020, 0.1852)
O (0.8313, 0.5952, 0.5543)
O (0.9220, 0.2779, 0.8239)